Entry 1:
Diffraction record for Dy2Sc3Se6. The powder diffractogram is calculated, not measured: it uses a crystal structure in Alexandria, relaxed with PBE and Cu Kα (λ = 1.5418 Å).
Kinematic intensities with the Lorentz-polarization factor, no thermal factor.

Principal peaks in the range 2θ from 10° to 80°, low angle first:
two_theta, I_rel
13.60, 362
28.47, 417
30.76, 1000
33.56, 415
39.08, 173
45.28, 623
46.78, 458
55.74, 179
67.14, 152
75.23, 173

Structure:
a b c (Å): 19.667 19.667 19.667
angles (deg): 11.69 11.69 11.69
Positions (direct):
Dy 0.056 0.056 0.056
Dy 0.944 0.944 0.944
Sc 0.218 0.218 0.218
Sc 0.500 0.500 0.500
Sc 0.782 0.782 0.782
Se 0.141 0.141 0.141
Se 0.303 0.303 0.303
Se 0.422 0.422 0.422
Se 0.578 0.578 0.578
Se 0.697 0.697 0.697
Se 0.859 0.859 0.859

=====

Entry 2:
Diffraction record for Pm2Ag3Pb3. The powder diffractogram is calculated, not measured: it uses a crystal structure in Alexandria, relaxed with PBE and Cu Kα (λ = 1.5418 Å).
Kinematic intensities with the Lorentz-polarization factor, no thermal factor.

Principal peaks in the range 2θ from 10° to 80°, low angle first:
two_theta, I_rel
33.30, 1000
37.33, 185
38.00, 176
40.52, 143
54.33, 125
56.26, 109
64.78, 146
65.68, 140
69.13, 113
69.92, 114

Structure:
a b c (Å): 4.735 4.818 8.906
angles (deg): 90.00 90.00 90.00
Positions (direct):
Pm 0.000 0.000 0.248
Pm 0.000 0.000 0.752
Ag 0.000 0.500 0.000
Ag 0.500 0.500 0.233
Ag 0.500 0.500 0.767
Pb 0.000 0.500 0.500
Pb 0.500 0.000 0.000
Pb 0.500 0.000 0.500

=====

Entry 3:
Diffraction record for Na3Li2Cd7. The powder diffractogram is calculated, not measured: it uses a crystal structure in Alexandria, relaxed with PBE and Cu Kα (λ = 1.5418 Å).
Kinematic intensities with the Lorentz-polarization factor, no thermal factor.

Principal peaks in the range 2θ from 10° to 80°, low angle first:
two_theta, I_rel
17.50, 918
18.51, 1000
21.23, 336
30.33, 345
35.00, 692
35.43, 552
35.54, 765
37.53, 434
38.31, 837
41.40, 697

Structure:
a b c (Å): 10.182 10.182 10.182
angles (deg): 33.94 33.94 33.94
Positions (direct):
Na 0.000 0.000 0.000
Na 0.143 0.143 0.143
Na 0.857 0.857 0.857
Li 0.333 0.333 0.333
Li 0.667 0.667 0.667
Cd 0.078 0.582 0.582
Cd 0.418 0.418 0.922
Cd 0.418 0.922 0.418
Cd 0.500 0.500 0.500
Cd 0.582 0.078 0.582
Cd 0.582 0.582 0.078
Cd 0.922 0.418 0.418

=====

Entry 4:
Diffraction record for MgZnGaCu. The powder diffractogram is calculated, not measured: it uses a crystal structure in Alexandria, relaxed with PBE and Cu Kα (λ = 1.5418 Å).
Kinematic intensities with the Lorentz-polarization factor, no thermal factor.

Principal peaks in the range 2θ from 10° to 80°, low angle first:
two_theta, I_rel
19.23, 740
34.39, 822
36.27, 385
36.96, 240
41.36, 1000
42.80, 560
49.19, 323
50.85, 282
56.02, 486
66.36, 227

Structure:
a b c (Å): 5.764 5.764 5.764
angles (deg): 152.40 126.20 61.52
Positions (direct):
Mg 0.000 0.000 0.000
Zn 0.710 0.710 0.000
Ga 0.288 0.288 0.000
Cu 0.500 0.000 0.500

=====

Entry 5:
Diffraction record for Cs6AuI2O. The powder diffractogram is calculated, not measured: it uses a crystal structure in Alexandria, relaxed with PBE and Cu Kα (λ = 1.5418 Å).
Kinematic intensities with the Lorentz-polarization factor, no thermal factor.

Principal peaks in the range 2θ from 10° to 80°, low angle first:
two_theta, I_rel
11.70, 313
15.36, 174
25.59, 1000
28.61, 164
30.05, 150
31.00, 526
41.36, 257
47.31, 125
49.27, 149
51.98, 249

Structure:
a b c (Å): 8.732 8.732 8.922
angles (deg): 90.00 90.00 120.00
Positions (direct):
Cs 0.155 0.310 0.197
Cs 0.155 0.845 0.197
Cs 0.310 0.155 0.803
Cs 0.690 0.845 0.197
Cs 0.845 0.155 0.803
Cs 0.845 0.690 0.803
Au 0.000 0.000 0.500
I 0.333 0.667 0.874
I 0.667 0.333 0.126
O 0.000 0.000 0.000

=====

Entry 6:
Diffraction record for NaPuCu2F8. The powder diffractogram is calculated, not measured: it uses a crystal structure in Alexandria, relaxed with PBE and Cu Kα (λ = 1.5418 Å).
Kinematic intensities with the Lorentz-polarization factor, no thermal factor.

Principal peaks in the range 2θ from 10° to 80°, low angle first:
two_theta, I_rel
10.87, 576
20.56, 775
24.99, 1000
27.32, 551
35.43, 470
35.83, 370
42.01, 223
43.85, 223
49.20, 337
57.59, 202

Structure:
a b c (Å): 8.650 8.650 8.650
angles (deg): 34.06 34.06 34.06
Positions (direct):
Na 0.000 0.000 0.000
Pu 0.500 0.500 0.500
Cu 0.270 0.270 0.270
Cu 0.730 0.730 0.730
F 0.102 0.454 0.784
F 0.216 0.898 0.546
F 0.345 0.345 0.345
F 0.454 0.784 0.102
F 0.546 0.216 0.898
F 0.655 0.655 0.655
F 0.784 0.102 0.454
F 0.898 0.546 0.216

=====

Entry 7:
Diffraction record for Ca3H2Au. The powder diffractogram is calculated, not measured: it uses a crystal structure in Alexandria, relaxed with PBE and Cu Kα (λ = 1.5418 Å).
Kinematic intensities with the Lorentz-polarization factor, no thermal factor.

Principal peaks in the range 2θ from 10° to 80°, low angle first:
two_theta, I_rel
14.98, 710
19.96, 396
22.14, 1000
24.69, 237
25.05, 523
30.87, 957
31.16, 754
36.28, 595
36.95, 325
42.40, 322

Structure:
a b c (Å): 7.401 7.401 4.865
angles (deg): 90.00 90.00 106.13
Positions (direct):
Ca 0.106 0.894 0.750
Ca 0.175 0.417 0.750
Ca 0.417 0.175 0.250
Ca 0.583 0.825 0.750
Ca 0.825 0.583 0.250
Ca 0.894 0.106 0.250
H 0.159 0.159 0.000
H 0.159 0.159 0.500
H 0.841 0.841 0.000
H 0.841 0.841 0.500
Au 0.283 0.717 0.250
Au 0.717 0.283 0.750

=====

Entry 8:
Diffraction record for Tb7Nd3Er. The powder diffractogram is calculated, not measured: it uses a crystal structure in Alexandria, relaxed with PBE and Cu Kα (λ = 1.5418 Å).
Kinematic intensities with the Lorentz-polarization factor, no thermal factor.

Principal peaks in the range 2θ from 10° to 80°, low angle first:
two_theta, I_rel
31.12, 230
31.54, 1000
31.87, 479
32.19, 683
32.62, 533
46.16, 119
52.43, 162
57.00, 159
57.19, 128
62.88, 188

Structure:
a b c (Å): 6.979 5.560 10.030
angles (deg): 90.00 109.23 90.00
Positions (direct):
Tb 0.000 0.000 0.000
Tb 0.148 0.500 0.289
Tb 0.323 0.500 0.636
Tb 0.424 0.000 0.829
Tb 0.576 0.000 0.171
Tb 0.677 0.500 0.364
Tb 0.852 0.500 0.711
Nd 0.000 0.000 0.500
Nd 0.280 0.500 0.996
Nd 0.720 0.500 0.004
Er 0.500 0.000 0.500

=====

Entry 9:
Diffraction record for Tb2Dy2Tm5. The powder diffractogram is calculated, not measured: it uses a crystal structure in Alexandria, relaxed with PBE and Cu Kα (λ = 1.5418 Å).
Kinematic intensities with the Lorentz-polarization factor, no thermal factor.

Principal peaks in the range 2θ from 10° to 80°, low angle first:
two_theta, I_rel
31.22, 1000
36.11, 170
36.26, 336
52.10, 240
52.22, 119
61.88, 72
61.93, 71
62.11, 283
65.11, 92
76.97, 38

Structure:
a b c (Å): 3.502 7.859 10.515
angles (deg): 77.16 89.99 77.19
Positions (direct):
Tb 0.166 0.167 0.389
Tb 0.834 0.833 0.611
Dy 0.500 0.499 0.834
Dy 0.500 0.501 0.166
Tm 0.166 0.166 0.055
Tm 0.168 0.166 0.723
Tm 0.500 0.500 0.500
Tm 0.832 0.834 0.277
Tm 0.834 0.834 0.945

=====

Entry 10:
Diffraction record for Nd7CoBr12. The powder diffractogram is calculated, not measured: it uses a crystal structure in Alexandria, relaxed with PBE and Cu Kα (λ = 1.5418 Å).
Kinematic intensities with the Lorentz-polarization factor, no thermal factor.

Principal peaks in the range 2θ from 10° to 80°, low angle first:
two_theta, I_rel
10.58, 173
11.61, 402
29.47, 1000
33.92, 145
41.54, 359
42.79, 346
52.81, 170
61.17, 110
68.43, 118
70.23, 141

Structure:
a b c (Å): 9.507 9.507 9.507
angles (deg): 106.53 106.53 106.53
Positions (direct):
Nd 0.000 0.000 0.000
Nd 0.195 0.399 0.481
Nd 0.399 0.481 0.195
Nd 0.481 0.195 0.399
Nd 0.519 0.805 0.601
Nd 0.601 0.519 0.805
Nd 0.805 0.601 0.519
Co 0.500 0.500 0.500
Br 0.039 0.333 0.120
Br 0.120 0.039 0.333
Br 0.179 0.719 0.572
Br 0.281 0.428 0.821
Br 0.333 0.120 0.039
Br 0.428 0.821 0.281
Br 0.572 0.179 0.719
Br 0.667 0.880 0.961
Br 0.719 0.572 0.179
Br 0.821 0.281 0.428
Br 0.880 0.961 0.667
Br 0.961 0.667 0.880

=====

Entry 11:
Diffraction record for ThAs2. The powder diffractogram is calculated, not measured: it uses a crystal structure in Alexandria, relaxed with PBE and Cu Kα (λ = 1.5418 Å).
Kinematic intensities with the Lorentz-polarization factor, no thermal factor.

Principal peaks in the range 2θ from 10° to 80°, low angle first:
two_theta, I_rel
20.76, 242
23.95, 870
30.66, 472
31.36, 335
32.43, 488
37.31, 1000
38.34, 387
43.85, 258
43.97, 256
59.66, 216

Structure:
a b c (Å): 4.119 4.130 8.559
angles (deg): 90.00 90.18 90.00
Positions (direct):
Th 0.249 0.250 0.218
Th 0.751 0.750 0.782
As 0.249 0.750 0.500
As 0.252 0.250 0.860
As 0.748 0.750 0.140
As 0.751 0.250 0.500

=====

Entry 12:
Diffraction record for Nd3Al2Sn4. The powder diffractogram is calculated, not measured: it uses a crystal structure in Alexandria, relaxed with PBE and Cu Kα (λ = 1.5418 Å).
Kinematic intensities with the Lorentz-polarization factor, no thermal factor.

Principal peaks in the range 2θ from 10° to 80°, low angle first:
two_theta, I_rel
25.24, 275
26.19, 528
32.15, 498
32.57, 1000
32.77, 733
33.06, 277
33.79, 345
38.94, 468
45.28, 176
66.67, 245

Structure:
a b c (Å): 4.626 7.072 8.451
angles (deg): 68.87 74.15 89.99
Positions (direct):
Nd 0.000 0.000 0.000
Nd 0.134 0.620 0.733
Nd 0.866 0.380 0.267
Al 0.338 0.017 0.322
Al 0.662 0.983 0.678
Sn 0.212 0.230 0.576
Sn 0.485 0.692 0.029
Sn 0.515 0.308 0.971
Sn 0.788 0.770 0.424

=====

Entry 13:
Diffraction record for FeAg2Sn3S8. The powder diffractogram is calculated, not measured: it uses a crystal structure in Alexandria, relaxed with PBE and Cu Kα (λ = 1.5418 Å).
Kinematic intensities with the Lorentz-polarization factor, no thermal factor.

Principal peaks in the range 2θ from 10° to 80°, low angle first:
two_theta, I_rel
23.86, 467
27.65, 1000
27.81, 737
28.12, 567
33.74, 534
41.53, 233
44.06, 233
44.26, 540
48.07, 692
48.85, 637

Structure:
a b c (Å): 7.460 7.460 7.460
angles (deg): 60.99 60.99 60.99
Positions (direct):
Fe 0.000 0.000 0.000
Ag 0.386 0.386 0.386
Ag 0.614 0.614 0.614
Sn 0.000 0.000 0.500
Sn 0.000 0.500 0.000
Sn 0.500 0.000 0.000
S 0.208 0.781 0.781
S 0.219 0.219 0.792
S 0.219 0.792 0.219
S 0.247 0.247 0.247
S 0.753 0.753 0.753
S 0.781 0.208 0.781
S 0.781 0.781 0.208
S 0.792 0.219 0.219

=====

Entry 14:
Diffraction record for Ba2GeIrPd. The powder diffractogram is calculated, not measured: it uses a crystal structure in Alexandria, relaxed with PBE and Cu Kα (λ = 1.5418 Å).
Kinematic intensities with the Lorentz-polarization factor, no thermal factor.

Principal peaks in the range 2θ from 10° to 80°, low angle first:
two_theta, I_rel
11.33, 794
28.58, 439
28.80, 299
29.37, 527
33.65, 274
37.02, 1000
41.18, 678
50.89, 354
61.21, 267
72.32, 282

Structure:
a b c (Å): 4.385 4.385 15.618
angles (deg): 90.00 90.00 90.00
Positions (direct):
Ba 0.250 0.250 0.097
Ba 0.250 0.250 0.675
Ba 0.750 0.750 0.325
Ba 0.750 0.750 0.903
Ge 0.250 0.250 0.419
Ge 0.750 0.750 0.581
Ir 0.250 0.750 0.500
Ir 0.750 0.250 0.500
Pd 0.250 0.250 0.882
Pd 0.750 0.750 0.118